Entry 1:
Starting from a cell relaxed with PBE, the PXRD pattern of Ta2NiIr9 was calculated for copper Kα.

Structure:
```
Ta2NiIr9
1.0
4.768 0.000 0.000
-1.561 5.965 0.000
-0.017 -2.542 6.256
Ta Ni Ir
2 1 9
direct
0.087 0.271 0.094 Ta
0.913 0.729 0.906 Ta
0.000 0.500 0.500 Ni
0.168 0.996 0.668 Ir
0.249 0.760 0.247 Ir
0.328 0.490 0.825 Ir
0.412 0.259 0.417 Ir
0.500 0.000 0.000 Ir
0.588 0.741 0.583 Ir
0.672 0.510 0.175 Ir
0.751 0.240 0.753 Ir
0.832 0.004 0.332 Ir
```

Most intense lines, 2θ = 10–90°, by angle:
two_theta, intensity
39.94, 50.4
40.05, 100.0
40.15, 50.2
46.54, 65.8
46.65, 32.1
67.89, 31.4
68.17, 21.2
81.71, 12.2
81.85, 19.1
81.93, 12.7
82.05, 24.9
86.46, 11.0


Entry 2:
Starting from a cell relaxed with PBE, the PXRD pattern of Pm8Mg2Tl was calculated for copper Kα.

Structure:
```
Pm8Mg2Tl
1.0
8.378 -2.756 0.000
8.378 2.756 0.000
-4.550 0.000 7.536
Pm Mg Tl
8 2 1
direct
0.069 0.069 0.220 Pm
0.137 0.137 0.684 Pm
0.318 0.318 0.554 Pm
0.410 0.410 0.051 Pm
0.590 0.590 0.949 Pm
0.682 0.682 0.446 Pm
0.863 0.863 0.316 Pm
0.931 0.931 0.780 Pm
0.229 0.229 0.115 Mg
0.771 0.771 0.885 Mg
0.500 0.500 0.500 Tl
```

Most intense lines, 2θ = 10–90°, by angle:
two_theta, intensity
26.66, 25.7
31.17, 44.8
31.53, 94.6
31.93, 100.0
32.49, 50.1
45.34, 17.1
45.64, 33.3
55.47, 18.0
56.52, 14.4
56.88, 17.5
57.36, 17.3
57.61, 18.7


Entry 3:
Starting from a cell relaxed with PBE, the PXRD pattern of BaPm2Mg9 was calculated for copper Kα.

Structure:
```
BaPm2Mg9
1.0
3.098 1.789 10.143
-3.098 1.789 10.143
0.000 -3.578 10.143
Ba Pm Mg
1 2 9
direct
0.000 0.000 0.000 Ba
0.150 0.150 0.150 Pm
0.850 0.850 0.850 Pm
0.082 0.588 0.588 Mg
0.334 0.334 0.334 Mg
0.412 0.412 0.918 Mg
0.412 0.918 0.412 Mg
0.500 0.500 0.500 Mg
0.588 0.082 0.588 Mg
0.588 0.588 0.082 Mg
0.666 0.666 0.666 Mg
0.918 0.412 0.412 Mg
```

Most intense lines, 2θ = 10–90°, by angle:
two_theta, intensity
16.78, 43.5
17.49, 26.1
26.39, 55.8
28.81, 74.8
33.53, 28.0
33.90, 100.0
35.43, 16.9
49.60, 20.2
51.84, 13.7
54.39, 23.0
59.69, 15.1
85.00, 16.1


What did the first record say?
Starting from a cell relaxed with PBE, the PXRD pattern of Ta2NiIr9 was calculated for copper Kα.

Structure:
```
Ta2NiIr9
1.0
4.768 0.000 0.000
-1.561 5.965 0.000
-0.017 -2.542 6.256
Ta Ni Ir
2 1 9
direct
0.087 0.271 0.094 Ta
0.913 0.729 0.906 Ta
0.000 0.500 0.500 Ni
0.168 0.996 0.668 Ir
0.249 0.760 0.247 Ir
0.328 0.490 0.825 Ir
0.412 0.259 0.417 Ir
0.500 0.000 0.000 Ir
0.588 0.741 0.583 Ir
0.672 0.510 0.175 Ir
0.751 0.240 0.753 Ir
0.832 0.004 0.332 Ir
```

Most intense lines, 2θ = 10–90°, by angle:
two_theta, intensity
39.94, 50.4
40.05, 100.0
40.15, 50.2
46.54, 65.8
46.65, 32.1
67.89, 31.4
68.17, 21.2
81.71, 12.2
81.85, 19.1
81.93, 12.7
82.05, 24.9
86.46, 11.0


What did the first record say?
Starting from a cell relaxed with PBE, the PXRD pattern of Ta2NiIr9 was calculated for copper Kα.

Structure:
```
Ta2NiIr9
1.0
4.768 0.000 0.000
-1.561 5.965 0.000
-0.017 -2.542 6.256
Ta Ni Ir
2 1 9
direct
0.087 0.271 0.094 Ta
0.913 0.729 0.906 Ta
0.000 0.500 0.500 Ni
0.168 0.996 0.668 Ir
0.249 0.760 0.247 Ir
0.328 0.490 0.825 Ir
0.412 0.259 0.417 Ir
0.500 0.000 0.000 Ir
0.588 0.741 0.583 Ir
0.672 0.510 0.175 Ir
0.751 0.240 0.753 Ir
0.832 0.004 0.332 Ir
```

Most intense lines, 2θ = 10–90°, by angle:
two_theta, intensity
39.94, 50.4
40.05, 100.0
40.15, 50.2
46.54, 65.8
46.65, 32.1
67.89, 31.4
68.17, 21.2
81.71, 12.2
81.85, 19.1
81.93, 12.7
82.05, 24.9
86.46, 11.0